The following is a simulated powder diffraction line list of Li5Rh. It was derived from a crystal structure in Alexandria, relaxed with PBE, using Cu Ka.
Lines closer than 0.1° are merged.

Most intense lines, 10 to 90 degrees two-theta, most intense first:
2θ 11.45, intensity 100, (0 0 2); 2θ 22.67, intensity 40, (1 0 2); 2θ 19.50, intensity 29, (1 0 0); 2θ 42.75, intensity 21, (1 1 3); 2θ 23.02, intensity 19, (0 0 4); 2θ 39.27, intensity 18, (1 1 1); 2θ 30.34, intensity 17, (1 0 4); 2θ 33.75, intensity 14, (0 1 1); 2θ 40.22, intensity 14, (1 0 6); 2θ 37.66, intensity 13, (0 1 3); 2θ 49.10, intensity 11, (1 1 5); 2θ 41.35, intensity 8, (2 0 2)

Cell and atoms:
```
Li5Rh
1.0
4.553 0.000 0.000
0.000 2.696 0.000
0.000 0.000 15.456
Li Rh
10 2
Direct
0.000 0.000 0.000 Li
0.000 0.000 0.301 Li
0.000 0.500 0.500 Li
0.000 0.500 0.801 Li
0.500 0.000 0.093 Li
0.500 0.000 0.414 Li
0.500 0.000 0.738 Li
0.500 0.500 0.238 Li
0.500 0.500 0.593 Li
0.500 0.500 0.914 Li
0.000 0.000 0.649 Rh
0.000 0.500 0.149 Rh
```

=====

The following is a simulated powder diffraction line list of Tm2PdN. It was derived from a crystal structure in Alexandria, relaxed with PBE, using Cu Ka.
Lines closer than 0.1° are merged.

Most intense lines, 10 to 90 degrees two-theta, most intense first:
2θ 39.34, intensity 100, (1 0 2); 2θ 40.65, intensity 54, (1 1 0); 2θ 73.09, intensity 32, (2 1 2); 2θ 31.47, intensity 31, (1 0 1); 2θ 28.43, intensity 30, (1 0 0); 2θ 58.84, intensity 18, (2 0 0); 2θ 58.65, intensity 17, (1 1 3); 2θ 77.47, intensity 13, (1 0 5); 2θ 40.40, intensity 13, (0 0 3); 2θ 26.62, intensity 12, (0 0 2); 2θ 70.44, intensity 10, (1 1 4); 2θ 49.25, intensity 10, (1 1 2)

Cell and atoms:
```
Tm2PdN
1.0
3.139 0.000 0.000
0.000 3.139 0.000
0.000 0.000 6.698
Tm Pd N
2 1 1
Direct
0.000 0.000 0.213 Tm
0.000 0.000 0.787 Tm
0.500 0.500 0.500 Pd
0.500 0.500 0.000 N
```

=====

The following is a simulated powder diffraction line list of La7Ir3. It was derived from a crystal structure in Alexandria, relaxed with PBE, using Cu Ka.
Lines closer than 0.1° are merged.

Most intense lines, 10 to 90 degrees two-theta, most intense first:
2θ 30.04, intensity 100, (2 1 1); 2θ 34.03, intensity 97, (2 0 2); 2θ 33.37, intensity 93, (3 0 1); 2θ 35.21, intensity 90, (2 2 0); 2θ 29.02, intensity 56, (1 0 2); 2θ 16.83, intensity 46, (1 0 1); 2θ 52.07, intensity 43, (3 0 3); 2θ 46.95, intensity 36, (3 2 1); 2θ 30.37, intensity 33, (3 0 0); 2θ 38.47, intensity 31, (2 1 2); 2θ 67.81, intensity 26, (5 2 1); 2θ 59.45, intensity 26, (5 0 2)

Cell and atoms:
```
La7Ir3
1.0
10.194 0.000 0.000
-5.097 8.828 0.000
0.000 0.000 6.566
La Ir
14 6
Direct
0.076 0.538 0.000 La
0.126 0.252 0.303 La
0.126 0.874 0.303 La
0.252 0.126 0.803 La
0.333 0.667 0.540 La
0.462 0.538 0.000 La
0.462 0.924 0.000 La
0.538 0.076 0.500 La
0.538 0.462 0.500 La
0.667 0.333 0.040 La
0.748 0.874 0.303 La
0.874 0.126 0.803 La
0.874 0.748 0.803 La
0.924 0.462 0.500 La
0.187 0.374 0.761 Ir
0.187 0.813 0.761 Ir
0.374 0.187 0.261 Ir
0.626 0.813 0.761 Ir
0.813 0.187 0.261 Ir
0.813 0.626 0.261 Ir
```